No. 1
Li4Be3P3IO12: calculated PXRD pattern (Cu Kα (weighted mean of Kα1 and Kα2)), based on a DFT-relaxed cell (GGA-PBE, the Materials Project).
No peak broadening, texture or thermal motion is included.

Atomic structure:
Cell lengths 8.2450, 8.2450, 8.2450 Å; angles 90.00, 90.00, 90.00 degrees
Space group P-43n (No. 218)
Inequivalent atoms, fractional coordinates:
Li 0.1934 0.1934 0.1934 x8
Be 0.0000 0.2500 0.5000 x6
P 0.0000 0.5000 0.2500 x6
I 0.0000 0.0000 0.0000 x2
O 0.0747 0.3618 0.6462 x24

Peak list (12 most intense, 15 to 90 degrees two-theta, sorted by position)
21.56 deg, d 4.122, I 28, hkl 2 0 0; 24.14 deg, d 3.687, I 11, hkl 2 1 0; 26.48 deg, d 3.366, I 100, hkl 2 1 1; 34.40 deg, d 2.607, I 11, hkl 3 1 0; 40.96 deg, d 2.204, I 31, hkl 3 2 1; 46.74 deg, d 1.943, I 22, hkl 3 3 0; 52.02 deg, d 1.758, I 12, hkl 3 3 2; 61.61 deg, d 1.505, I 10, hkl 5 2 1; 63.87 deg, d 1.458, I 9, hkl 4 4 0; 70.39 deg, d 1.338, I 13, hkl 5 3 2; 78.72 deg, d 1.216, I 10, hkl 6 3 1; 86.80 deg, d 1.122, I 11, hkl 7 2 1

=====

No. 2
MgSi: calculated PXRD pattern (Cu Kα (weighted mean of Kα1 and Kα2)), based on a DFT-relaxed cell (GGA-PBE, the Materials Project).
No peak broadening, texture or thermal motion is included.

Atomic structure:
Cell lengths 5.4722, 5.9283, 13.8650 Å; angles 82.71, 85.00, 88.32 degrees
Space group P-1 (No. 2)
Inequivalent atoms, fractional coordinates:
Mg 0.0121 0.2739 0.4336 x2
Mg 0.1472 0.0700 0.9041 x2
Mg 0.1927 0.5700 0.9068 x2
Mg 0.2436 0.4904 0.2287 x2
Mg 0.3883 0.9882 0.2328 x2
Mg 0.4784 0.2231 0.5658 x2
Si 0.0384 0.7849 0.3694 x2
Si 0.1388 0.8731 0.7328 x2
Si 0.2449 0.3890 0.7295 x2
Si 0.3245 0.2456 0.0620 x2
Si 0.3377 0.7918 0.0639 x2
Si 0.4786 0.7169 0.6292 x2

Peak list (12 most intense, 15 to 90 degrees two-theta, sorted by position)
34.08 deg, d 2.631, I 100, hkl 2 0 -1; 34.38 deg, d 2.609, I 61, hkl 2 0 2; 34.67 deg, d 2.587, I 40, hkl 0 2 -2; 36.82 deg, d 2.441, I 37, hkl 1 1 5; 37.03 deg, d 2.428, I 72, hkl 1 2 3; 38.28 deg, d 2.351, I 29, hkl 1 -2 2; 38.43 deg, d 2.342, I 63, hkl 0 2 -3; 39.45 deg, d 2.284, I 62, hkl 0 0 6; 40.15 deg, d 2.246, I 39, hkl 1 2 4; 42.50 deg, d 2.127, I 84, hkl -1 2 4; 44.20 deg, d 2.049, I 49, hkl 2 0 -4; 44.91 deg, d 2.019, I 75, hkl 2 0 5

=====

No. 3
Fe2CoSe4: calculated PXRD pattern (Cu Kα (weighted mean of Kα1 and Kα2)), based on a DFT-relaxed cell (GGA-PBE, the Materials Project).
No peak broadening, texture or thermal motion is included.

Atomic structure:
Cell lengths 12.1192, 3.5462, 6.1843 Å; angles 90.00, 119.20, 90.00 degrees
Space group Cm (No. 8)
Inequivalent atoms, fractional coordinates:
Fe 0.0000 0.0000 0.0000 x2
Fe 0.2407 0.5000 0.7150 x2
Co 0.2599 0.0000 0.2797 x2
Se 0.1212 0.0000 0.4507 x2
Se 0.1344 0.5000 0.9684 x2
Se 0.3621 0.0000 0.0217 x2
Se 0.3786 0.5000 0.5416 x2

Peak list (12 most intense, 15 to 90 degrees two-theta, sorted by position)
16.77 deg, d 5.286, I 25, hkl 2 0 0; 33.19 deg, d 2.699, I 26, hkl 0 0 2; 33.51 deg, d 2.674, I 96, hkl 1 1 1; 33.93 deg, d 2.642, I 100, hkl 4 0 -2; 44.91 deg, d 2.018, I 50, hkl 3 1 1; 45.52 deg, d 1.993, I 38, hkl 5 1 -1; 45.71 deg, d 1.985, I 26, hkl 6 0 -2; 51.28 deg, d 1.782, I 63, hkl 3 1 -3; 51.54 deg, d 1.773, I 33, hkl 0 2 0; 60.89 deg, d 1.521, I 19, hkl 7 1 -1; 63.16 deg, d 1.472, I 22, hkl 4 2 -2; 71.32 deg, d 1.322, I 23, hkl 8 0 0

=====

No. 4
NiAg3: calculated PXRD pattern (Cu Kα (weighted mean of Kα1 and Kα2)), based on a DFT-relaxed cell (GGA-PBE, the Materials Project).
No peak broadening, texture or thermal motion is included.

Atomic structure:
Cell lengths 4.0222, 4.0222, 7.9822 Å; angles 90.00, 90.00, 90.00 degrees
Space group I4/mmm (No. 139)
Inequivalent atoms, fractional coordinates:
Ni 0.0000 0.0000 0.0000 x2
Ag 0.0000 0.0000 0.5000 x2
Ag 0.0000 0.5000 0.2500 x4

Peak list (12 most intense, 15 to 90 degrees two-theta, sorted by position)
22.27 deg, d 3.991, I 1, hkl 0 0 2; 24.79 deg, d 3.592, I 5, hkl 1 0 1; 31.45 deg, d 2.844, I 1, hkl 1 1 0; 38.88 deg, d 2.316, I 100, hkl 1 1 2; 40.66 deg, d 2.219, I 1, hkl 1 0 3; 45.08 deg, d 2.011, I 32, hkl 2 0 0; 45.45 deg, d 1.996, I 16, hkl 0 0 4; 65.65 deg, d 1.422, I 10, hkl 2 2 0; 65.94 deg, d 1.417, I 19, hkl 2 0 4; 79.01 deg, d 1.212, I 23, hkl 3 1 2; 79.55 deg, d 1.205, I 11, hkl 1 1 6; 83.47 deg, d 1.158, I 10, hkl 2 2 4